The following is a computed powder diffraction line list of V2Mo5W2. It was derived from a structure optimized by DFT (GGA-PBE), using a wavelength of 1.5418 Å.
No peak broadening, texture or thermal motion is included.

Crystal structure
Cell: 2.731 6.799 7.675 Å, 100.82 90.20 97.74°
Space group P-1 (No. 2)
Unique sites:
V1 0.172 0.000 0.336 (multiplicity 2)
Mo1 0.055 0.669 0.776 (multiplicity 2)
Mo2 0.391 0.674 0.446 (multiplicity 2)
Mo3 0.500 0.000 0.000 (multiplicity 1)
W1 0.276 0.331 0.887 (multiplicity 2)

The 12 most intense peaks (5° ≤ 2θ ≤ 70°), in order of falling intensity:
2θ (°)  I_rel  index
40.6  100  1 1 1
40.8  99  0 1 3
40.5  52  1 0 -2
58.9  49  1 3 -2
40.9  49  0 3 0
11.7  29  0 0 1
13.4  21  0 1 0
27.0  7  0 2 0
16.1  6  0 1 -1
35.6  6  1 0 1
35.7  5  0 0 3
29.4  5  0 1 2

---

The following is a computed powder diffraction line list of V3MoW2. It was derived from a structure optimized by DFT (GGA-PBE), using a wavelength of 1.5418 Å.
No peak broadening, texture or thermal motion is included.

Crystal structure
Cell: 4.450 8.581 5.143 Å, 90.00 115.37 90.00°
Space group P2/m (No. 10)
Unique sites:
V1 0.000 0.247 0.000 (multiplicity 2)
V2 0.333 0.250 0.666 (multiplicity 4)
Mo1 0.167 0.000 0.335 (multiplicity 2)
W1 0.166 0.500 0.333 (multiplicity 2)
W2 0.500 0.000 0.000 (multiplicity 1)
W3 0.500 0.500 0.000 (multiplicity 1)

The 12 most intense peaks (5° ≤ 2θ ≤ 70°), in order of falling intensity:
2θ (°)  I_rel  index
41.2  100  1 2 1
41.3  99  1 2 -2
20.7  73  0 2 0
40.5  52  2 0 -1
42.1  47  0 4 0
59.9  32  2 4 -1
10.3  22  0 1 0
35.2  20  1 0 1
35.4  20  1 0 -2
45.9  20  2 2 -1
59.7  16  0 0 3
56.0  11  1 4 1

---

The following is a computed powder diffraction line list of Y2ZrVMo. It was derived from a structure optimized by DFT (GGA-PBE), using a wavelength of 1.5418 Å.
No peak broadening, texture or thermal motion is included.

Crystal structure
Cell: 5.418 5.418 4.468 Å, 90.00 90.00 90.00°
Space group P4/mmm (No. 123)
Unique sites:
Y1 0.000 0.500 0.000 (multiplicity 2)
Zr1 0.000 0.000 0.500 (multiplicity 1)
V1 0.500 0.500 0.500 (multiplicity 1)
Mo1 0.500 0.500 0.000 (multiplicity 1)

The 12 most intense peaks (5° ≤ 2θ ≤ 70°), in order of falling intensity:
2θ (°)  I_rel  index
33.1  100  2 0 0
30.7  70  1 1 1
53.1  49  2 0 2
25.8  42  1 0 1
47.5  35  2 2 0
40.4  28  0 0 2
64.0  28  2 2 2
42.4  22  2 1 1
57.6  22  3 1 1
19.9  19  0 0 1
38.9  13  2 0 1
69.4  11  4 0 0